(1)
Diffraction record for CaCuS2. The X-ray powder pattern is simulated, not measured: it uses a crystal structure in the Materials Project, relaxed with PBE and Cu Kα.
Neutral-atom scattering factors, no anomalous dispersion.

Cell and atoms:
```
data_CaCuS2
_chemical_formula_sum 'Ca1 Cu1 S2'
_cell_length_a 4.6219
_cell_length_b 4.6219
_cell_length_c 3.8115
_cell_angle_alpha 90.00
_cell_angle_beta 90.00
_cell_angle_gamma 90.00
_symmetry_space_group_name_H-M 'P 4/m m m'
_symmetry_Int_Tables_number 123
_symmetry_space_group_name_Hall '-P 4 2'
loop_
_atom_site_label
_atom_site_type_symbol
_atom_site_fract_x
_atom_site_fract_y
_atom_site_fract_z
Ca1 Ca 0.0000 0.0000 0.0000
Cu1 Cu 0.5000 0.5000 0.5000
S1 S 0.0000 0.5000 0.5000
```

The 6 most intense peaks (10 to 80 degrees two-theta), sorted by position:
2theta  I (rel.)
23.34  36
30.40  100
38.97  62
45.92  21
50.21  45
63.25  26

---

(2)
Diffraction record for ErAlCu. The X-ray powder pattern is simulated, not measured: it uses a crystal structure in the Materials Project, relaxed with PBE and Cu Kα.
Neutral-atom scattering factors, no anomalous dispersion.

Cell and atoms:
```
data_ErAlCu
_chemical_formula_sum 'Er3 Al3 Cu3'
_cell_length_a 6.9611
_cell_length_b 6.9611
_cell_length_c 4.0162
_cell_angle_alpha 90.00
_cell_angle_beta 90.00
_cell_angle_gamma 120.00
_symmetry_space_group_name_H-M 'P -6 2 m'
_symmetry_Int_Tables_number 189
_symmetry_space_group_name_Hall 'P -6 -2'
loop_
_atom_site_label
_atom_site_type_symbol
_atom_site_fract_x
_atom_site_fract_y
_atom_site_fract_z
Er1 Er 0.0000 0.4144 0.0000
Al1 Al 0.0000 0.7650 0.5000
Cu1 Cu 0.0000 0.0000 0.0000
Cu2 Cu 0.3333 0.6667 0.5000
```

The 6 most intense peaks (10 to 80 degrees two-theta), sorted by position:
2theta  I (rel.)
25.59  37
34.09  100
37.30  95
45.14  42
54.92  36
59.93  35

---

(3)
Diffraction record for RbCr3S5. The X-ray powder pattern is simulated, not measured: it uses a crystal structure in the Materials Project, relaxed with PBE and Cu Kα.
Neutral-atom scattering factors, no anomalous dispersion.

Cell and atoms:
```
data_RbCr3S5
_chemical_formula_sum 'Rb4 Cr12 S20'
_cell_length_a 19.5330
_cell_length_b 3.5410
_cell_length_c 12.2293
_cell_angle_alpha 90.00
_cell_angle_beta 122.75
_cell_angle_gamma 90.00
_symmetry_space_group_name_H-M 'C 1 2/m 1'
_symmetry_Int_Tables_number 12
loop_
_symmetry_equiv_pos_as_xyz
'x,y,z'
'-x,-y,-z'
'-x,y,-z'
'x,-y,z'
'x+1/2,y+1/2,z'
'-x+1/2,-y+1/2,-z'
'-x+1/2,y+1/2,-z'
'x+1/2,-y+1/2,z'
loop_
_atom_site_label
_atom_site_type_symbol
_atom_site_fract_x
_atom_site_fract_y
_atom_site_fract_z
Rb1 Rb 0.2458 0.0000 0.3348
Cr1 Cr 0.0000 0.0000 0.0000
Cr2 Cr 0.0000 0.0000 0.5000
Cr3 Cr 0.0165 0.5000 0.2705
Cr4 Cr 0.1651 0.5000 0.8890
S1 S 0.0744 0.5000 0.6516
S2 S 0.0754 0.0000 0.8923
S3 S 0.0790 0.5000 0.1504
S4 S 0.0902 0.0000 0.4169
S5 S 0.2437 0.0000 0.8843
```

The 6 most intense peaks (10 to 80 degrees two-theta), sorted by position:
2theta  I (rel.)
21.64  38
32.40  39
32.79  100
41.32  55
47.62  36
51.76  37